# 1
K2PdO3: theoretical XRD peak list (Cu Kα X-rays), based on a crystal structure in Alexandria, relaxed with PBE.

Atomic structure:
Lattice parameters (Å, degrees): 6.0644 6.0644 5.7703 90.00 90.00 120.00
Space group P6_3/mcm (No. 193)
One atom of each set of equivalent atoms:
1 K 0.3333 0.6667 0.0000 x4
2 Pd 0.0000 0.0000 0.0000 x2
3 O 0.0000 0.2475 0.2500 x6

Most intense lines, 2θ from 5° to 70°, by intensity:
(1 1 0), 2θ 29.5, I 100; (1 0 0), 2θ 16.9, I 93; (1 1 2), 2θ 43.3, I 92; (3 0 0), 2θ 52.3, I 25; (3 0 2), 2θ 62.0, I 22; (0 0 2), 2θ 31.0, I 19



# 2
K3Pd2O4: theoretical XRD peak list (Cu Kα X-rays), based on a crystal structure in Alexandria, relaxed with PBE.

Atomic structure:
Lattice parameters (Å, degrees): 6.2351 9.3225 11.5628 90.00 90.00 90.00
Space group Cmcm (No. 63)
One atom of each set of equivalent atoms:
1 K 0.0000 0.1492 0.0679 x8
2 K 0.0000 0.2074 0.7500 x4
3 Pd 0.0000 0.4252 0.2500 x4
4 Pd 0.0000 0.5000 0.0000 x4
5 O 0.2118 0.4206 0.1159 x16

Most intense lines, 2θ from 5° to 70°, by intensity:
(1 1 0), 2θ 17.1, I 100; (1 1 4), 2θ 35.6, I 46; (1 3 0), 2θ 32.2, I 45; (2 0 0), 2θ 28.6, I 44; (1 3 1), 2θ 33.1, I 38; (2 2 3), 2θ 42.0, I 37



# 3
K3PdO8: theoretical XRD peak list (Cu Kα X-rays), based on a crystal structure in Alexandria, relaxed with PBE.

Atomic structure:
Lattice parameters (Å, degrees): 7.1281 7.1281 7.9858 90.00 90.00 90.00
Space group I-42m (No. 121)
One atom of each set of equivalent atoms:
1 K 0.0000 0.0000 0.0000 x2
2 K 0.0000 0.5000 0.2500 x4
3 Pd 0.0000 0.0000 0.5000 x2
4 O 0.1667 0.1667 0.7207 x8
5 O 0.1982 0.1982 0.5497 x8

Most intense lines, 2θ from 5° to 70°, by intensity:
(1 1 2), 2θ 28.5, I 100; (1 0 1), 2θ 16.7, I 64; (3 1 2), 2θ 46.3, I 57; (2 2 0), 2θ 35.6, I 44; (2 0 0), 2θ 25.0, I 27; (1 1 0), 2θ 17.6, I 26



# 4
KPmPdO3: theoretical XRD peak list (Cu Kα X-rays), based on a crystal structure in Alexandria, relaxed with PBE.

Atomic structure:
Lattice parameters (Å, degrees): 13.2955 3.9641 7.5525 90.00 104.74 90.00
Space group C2/m (No. 12)
One atom of each set of equivalent atoms:
1 K 0.1440 0.0000 0.0651 x4
2 Pm 0.1497 0.0000 0.5777 x4
3 Pd 0.0070 0.5000 0.2749 x4
4 O 0.0069 0.0000 0.3138 x4
5 O 0.1528 0.5000 0.7750 x4
6 O 0.1699 0.5000 0.3683 x4

Most intense lines, 2θ from 5° to 70°, by intensity:
(1 1 -2), 2θ 32.8, I 100; (0 0 1), 2θ 12.1, I 85; (3 1 0), 2θ 30.7, I 68; (2 0 2), 2θ 31.1, I 47; (4 0 -2), 2θ 32.1, I 39; (0 2 0), 2θ 45.8, I 26